Diffraction record for MgSnI4. The X-ray diffraction stick pattern is theoretical, not measured: it uses a cell relaxed with GGA-PBE and a wavelength of 1.5418 Å.
Lines closer than 0.1° are merged.

Peak list (8 most intense, 10 to 80 degrees two-theta, low angle first)
11.65 deg, 7.595 Å, intensity 51; 23.43 deg, 3.797 Å, intensity 29; 25.91 deg, 3.439 Å, intensity 47; 26.17 deg, 3.406 Å, intensity 100; 26.31 deg, 3.387 Å, intensity 34; 33.24 deg, 2.695 Å, intensity 67; 40.54 deg, 2.225 Å, intensity 38; 43.08 deg, 2.100 Å, intensity 37

Cell and atoms:
a = 8.757 Å, b = 8.757 Å, c = 7.769 Å
α = 115.56°, β = 115.56°, γ = 28.78°
Positions (direct):
1 Mg 0.000 0.000 0.000
2 Sn 0.500 0.500 0.500
3 I 0.117 0.117 0.810
4 I 0.389 0.389 0.742
5 I 0.611 0.611 0.258
6 I 0.883 0.883 0.190